Structure and calculated XRD peak list of Ca2Y2In3 (the GGA-PBE geometry in Alexandria; Cu Kα (λ = 1.5418 Å)).
Intensities are scaled so that the largest is 100.

Structural model:
Lattice parameters (Å, degrees): 9.399 9.399 9.399 32.61 32.61 32.61
Atoms (fractional coordinates):
Ca 0.129 0.129 0.129
Ca 0.871 0.871 0.871
Y 0.378 0.378 0.378
Y 0.622 0.622 0.622
In 0.000 0.000 0.000
In 0.252 0.252 0.252
In 0.748 0.748 0.748

Most intense lines, 5° ≤ 2θ ≤ 70°, sorted by position:
2θ (°), I (rel.)
9.95, 49
20.54, 12
25.67, 18
33.26, 100
33.97, 96
35.49, 15
48.28, 34
58.97, 17
60.35, 34
60.80, 17